Starting from the GGA-PBE geometry in Alexandria, the X-ray diffraction stick pattern of CsIn2GaI8 was calculated for λ = 1.5418 Å (Cu Kα).
Peak positions follow from Bragg's law for the DFT cell and can differ from measured ones.

```
12
Lattice="7.799 0.000 0.000 -3.899 6.754 0.000 0.000 0.000 11.403" Properties=species:S:1:pos:R:3 pbc="T T T"
Cs 0.000 0.000 0.000
In 0.000 4.503 8.649
In 3.899 2.251 2.754
Ga 0.000 0.000 5.701
I -2.599 4.549 3.594
I 1.260 2.229 3.594
I 2.560 0.024 7.808
I 0.000 4.503 0.001
I 3.899 2.251 11.402
I 1.339 6.730 3.594
I 2.640 4.525 7.808
I 6.498 2.205 7.808
```

The 10 most intense peaks (2θ from 5° to 70°), in order of falling intensity:
| 2θ (°) | I/Imax |
| --- | --- |
| 24.12 | 100 |
| 27.72 | 55 |
| 40.05 | 46 |
| 39.14 | 44 |
| 23.40 | 30 |
| 46.90 | 27 |
| 15.25 | 23 |
| 46.11 | 17 |
| 47.30 | 16 |
| 57.25 | 14 |

=====

Starting from the GGA-PBE geometry in Alexandria, the X-ray diffraction stick pattern of Cs2GaPdI6 was calculated for λ = 1.5418 Å (Cu Kα).
Peak positions follow from Bragg's law for the DFT cell and can differ from measured ones.

```
10
Lattice="-4.123 4.123 5.813 4.123 -4.123 5.813 4.123 4.123 -5.813" Properties=species:S:1:pos:R:3 pbc="T T T"
Cs 4.123 0.000 2.907
Cs 0.000 4.123 2.907
Ga 0.000 0.000 0.000
Pd 0.000 0.000 5.813
I 0.000 0.000 2.916
I 2.146 2.146 0.000
I 1.977 -1.977 5.813
I -1.977 1.977 5.813
I 1.977 1.977 5.813
I 0.000 0.000 8.710
```

The 10 most intense peaks (2θ from 5° to 70°), in order of falling intensity:
| 2θ (°) | I/Imax |
| --- | --- |
| 30.70 | 100 |
| 26.50 | 94 |
| 43.96 | 73 |
| 52.03 | 27 |
| 54.57 | 25 |
| 52.16 | 14 |
| 21.57 | 13 |
| 15.21 | 12 |
| 63.85 | 8 |
| 34.43 | 6 |